1.
Simulated powder XRD pattern
Compound: V6O7F5
Radiation: CuKα
Structure: DFT lattice parameters and positions (GGA+U)
Intensities are scaled so that the largest is 100.

Largest 10 diffraction maxima, in order of falling intensity, 2θ = 10–90°:
2θ/deg	d [Å]	I_rel	(hkl)
25.49	3.495	100	1 1 1
27.77	3.213	97	-1 1 1
34.89	2.572	94	0 2 -1
53.84	1.703	53	1 -3 0
51.25	1.783	49	1 1 4
66.65	1.403	32	3 1 -2
39.10	2.304	25	1 2 -1
60.41	1.532	23	0 2 -4
66.78	1.401	22	0 4 1
40.69	2.217	21	1 0 -3

Crystal structure
a b c (Å): 4.7525 5.6427 7.7533
angles (deg): 85.12 87.04 85.97
Space group P1 (No. 1)
Asymmetric unit:
V (0.0000, 0.0000, 0.0000) [1 per cell]
V (0.0026, 0.3289, 0.6732) [1 per cell]
V (0.0097, 0.6650, 0.3432) [1 per cell]
V (0.5037, 0.1640, 0.3388) [1 per cell]
V (0.5071, 0.4996, 0.0058) [1 per cell]
V (0.5521, 0.8641, 0.6881) [1 per cell]
O (0.3049, 0.4667, 0.2393) [1 per cell]
O (0.3127, 0.1284, 0.5756) [1 per cell]
O (0.3162, 0.8040, 0.9031) [1 per cell]
O (0.7031, 0.8650, 0.4452) [1 per cell]
O (0.7061, 0.1984, 0.1069) [1 per cell]
O (0.7067, 0.5439, 0.7712) [1 per cell]
O (0.8074, 0.0401, 0.7730) [1 per cell]
F (0.1999, 0.9639, 0.2374) [1 per cell]
F (0.2009, 0.3016, 0.9053) [1 per cell]
F (0.2028, 0.6256, 0.5726) [1 per cell]
F (0.8117, 0.3646, 0.4394) [1 per cell]
F (0.8116, 0.7006, 0.1090) [1 per cell]


2.
Simulated powder XRD pattern
Compound: V3O4F2
Radiation: CuKα
Structure: DFT lattice parameters and positions (GGA+U)
Intensities are scaled so that the largest is 100.

Largest 10 diffraction maxima, in order of falling intensity, 2θ = 10–90°:
2θ/deg	d [Å]	I_rel	(hkl)
27.07	3.294	100	2 0 0
53.12	1.724	60	3 3 1
34.99	2.564	51	1 3 1
40.14	2.246	22	0 6 1
67.61	1.386	22	3 9 1
55.82	1.647	18	4 0 0
67.27	1.392	12	2 0 2
60.26	1.536	10	0 0 2
86.69	1.123	8	4 0 2
63.12	1.473	8	2 12 0

Crystal structure
a b c (Å): 6.5869 19.7641 3.0714
angles (deg): 90.00 90.00 90.00
Space group Cmmm (No. 65)
Asymmetric unit:
V (0.0000, 0.0000, 0.0000) [2 per cell]
V (0.0000, 0.1595, 0.5000) [4 per cell]
V (0.0000, 0.3393, 0.0000) [4 per cell]
V (0.0000, 0.5000, 0.5000) [2 per cell]
O (0.0000, 0.0651, 0.5000) [4 per cell]
O (0.0000, 0.4025, 0.5000) [4 per cell]
O (0.1912, 0.1675, 0.0000) [8 per cell]
F (0.0000, 0.2659, 0.5000) [4 per cell]
F (0.1971, 0.5000, 0.0000) [4 per cell]


3.
Simulated powder XRD pattern
Compound: V2O3F3
Radiation: CuKα
Structure: DFT lattice parameters and positions (GGA+U)
Intensities are scaled so that the largest is 100.

Largest 10 diffraction maxima, in order of falling intensity, 2θ = 10–90°:
2θ/deg	d [Å]	I_rel	(hkl)
23.12	3.847	100	1 1 1
24.97	3.566	48	2 0 -2
47.25	1.924	23	2 2 2
34.04	2.634	11	1 1 -3
39.17	2.300	10	3 1 1
51.24	1.783	10	4 0 -4
52.96	1.729	9	3 1 3
53.83	1.703	9	0 2 4
53.51	1.713	8	1 3 1
56.59	1.626	8	3 1 -5

Crystal structure
a b c (Å): 8.9043 5.4091 9.0778
angles (deg): 90.00 104.99 90.00
Space group C2 (No. 5)
Asymmetric unit:
V (0.1021, 0.0000, 0.3611) [4 per cell]
V (0.1265, 0.5253, 0.8738) [4 per cell]
O (0.0000, 0.0988, 0.5000) [2 per cell]
O (0.0000, 0.5767, 0.0000) [2 per cell]
O (0.0323, 0.8224, 0.7511) [4 per cell]
O (0.2484, 0.4863, 0.7464) [4 per cell]
F (0.0406, 0.3162, 0.2573) [4 per cell]
F (0.2081, 0.2202, 0.9875) [4 per cell]
F (0.2086, 0.7623, 0.4938) [4 per cell]


4.
Simulated powder XRD pattern
Compound: V4O7F5
Radiation: CuKα
Structure: DFT lattice parameters and positions (GGA+U)
Intensities are scaled so that the largest is 100.

Largest 10 diffraction maxima, in order of falling intensity, 2θ = 10–90°:
2θ/deg	d [Å]	I_rel	(hkl)
23.75	3.746	100	0 0 2
23.97	3.713	96	1 1 0
23.63	3.765	92	1 -1 0
54.24	1.691	25	1 -3 0
33.46	2.678	24	1 1 -2
48.35	1.882	21	2 -2 0
48.61	1.873	21	0 0 4
49.08	1.856	19	2 2 0
39.89	2.260	14	2 -1 1
33.59	2.668	13	0 2 0

Crystal structure
a b c (Å): 5.2402 5.3390 7.4961
angles (deg): 91.99 90.34 90.78
Space group P1 (No. 1)
Asymmetric unit:
V (0.0000, 0.0000, 0.0000) [1 per cell]
V (0.0021, 0.9958, 0.5141) [1 per cell]
V (0.4961, 0.4929, 0.0247) [1 per cell]
V (0.5638, 0.4904, 0.5187) [1 per cell]
O (0.3124, 0.2413, 0.9677) [1 per cell]
O (0.4593, 0.5273, 0.2436) [1 per cell]
O (0.5990, 0.5088, 0.7382) [1 per cell]
O (0.7505, 0.8054, 0.0204) [1 per cell]
O (0.7532, 0.2403, 0.4576) [1 per cell]
O (0.8100, 0.7420, 0.4613) [1 per cell]
O (0.9684, 0.0259, 0.7364) [1 per cell]
F (0.1068, 0.0189, 0.2504) [1 per cell]
F (0.2450, 0.3162, 0.5212) [1 per cell]
F (0.2530, 0.7347, 0.9506) [1 per cell]
F (0.3154, 0.8170, 0.5270) [1 per cell]
F (0.8156, 0.3184, 0.0383) [1 per cell]